Calculated X-ray diffraction stick pattern
Compound: Cs2KAuF6
Radiation: λ = 1.5418 Å (Cu Kα)
Structure: the PBE geometry in the Materials Project

Main lines, sorted by position (5° ≤ 2θ ≤ 70°):
| 2θ/deg | I (rel.) |
| --- | --- |
| 16.23 | 28.7 |
| 26.66 | 100.0 |
| 31.37 | 14.2 |
| 38.06 | 34.0 |
| 47.07 | 41.8 |
| 50.11 | 7.1 |
| 54.91 | 21.9 |
| 57.66 | 6.8 |
| 62.06 | 19.8 |
| 68.76 | 7.1 |

Structure:
a b c (Å): 6.6881 6.6881 6.6881
angles (deg): 60.00 60.00 60.00
Sites, in units of the cell vectors:
Cs1 0.2500 0.2500 0.2500
Cs2 0.7500 0.7500 0.7500
K1 0.0000 0.0000 0.0000
Au1 0.5000 0.5000 0.5000
F1 0.2719 0.2719 0.7281
F2 0.2719 0.7281 0.2719
F3 0.2719 0.7281 0.7281
F4 0.7281 0.2719 0.2719
F5 0.7281 0.2719 0.7281
F6 0.7281 0.7281 0.2719